For La3Pm3Th2, a DFT-relaxed cell (GGA-PBE, Alexandria) gives the simulated X-ray powder pattern in this record (Cu Kα (weighted mean of Kα1 and Kα2)).
Neutral-atom scattering factors, no anomalous dispersion.

Main lines, low angle first (10 to 90 degrees two-theta):
- 2.989 Å, 2θ = 29.90°, I 100
- 2.647 Å, 2θ = 33.86°, I 17
- 2.566 Å, 2θ = 34.96°, I 17
- 2.554 Å, 2θ = 35.14°, I 17
- 1.843 Å, 2θ = 49.46°, I 12
- 1.838 Å, 2θ = 49.60°, I 12
- 1.810 Å, 2θ = 50.41°, I 12
- 1.586 Å, 2θ = 58.15°, I 14
- 1.546 Å, 2θ = 59.84°, I 14
- 1.494 Å, 2θ = 62.12°, I 12

Crystal structure
```
data_La3Pm3Th2
_symmetry_space_group_name_H-M 'P -1'
_symmetry_Int_Tables_number 2
_cell_length_a 5.108
_cell_length_b 5.133
_cell_length_c 11.188
_cell_angle_alpha 103.22
_cell_angle_beta 103.17
_cell_angle_gamma 90.03
loop_
_symmetry_equiv_pos_as_xyz
'x,y,z'
'-x,-y,-z'
loop_
_atom_site_label
_atom_site_type_symbol
_atom_site_fract_x
_atom_site_fract_y
_atom_site_fract_z
_atom_site_occupancy
La1 La 0.000 0.000 0.000 1
La2 La 0.132 0.631 0.263 1
Pm1 Pm 0.369 0.869 0.738 1
Pm2 Pm 0.500 0.500 0.000 1
Th1 Th 0.250 0.250 0.500 1
```

=====

For La7Pm2Th, a DFT-relaxed cell (GGA-PBE, Alexandria) gives the simulated X-ray powder pattern in this record (Cu Kα (weighted mean of Kα1 and Kα2)).
Neutral-atom scattering factors, no anomalous dispersion.

Main lines, low angle first (10 to 90 degrees two-theta):
- 3.023 Å, 2θ = 29.55°, I 100
- 3.010 Å, 2θ = 29.68°, I 99
- 2.620 Å, 2θ = 34.22°, I 33
- 2.609 Å, 2θ = 34.37°, I 67
- 1.849 Å, 2θ = 49.28°, I 59
- 1.580 Å, 2θ = 58.42°, I 14
- 1.577 Å, 2θ = 58.53°, I 42
- 1.571 Å, 2θ = 58.77°, I 29
- 1.512 Å, 2θ = 61.32°, I 12
- 1.505 Å, 2θ = 61.62°, I 12

Crystal structure
```
data_La7Pm2Th
_symmetry_space_group_name_H-M 'P 1 2/m 1'
_symmetry_Int_Tables_number 10
_cell_length_a 9.065
_cell_length_b 3.678
_cell_length_c 11.119
_cell_angle_alpha 90.00
_cell_angle_beta 105.80
_cell_angle_gamma 90.00
loop_
_symmetry_equiv_pos_as_xyz
'x,y,z'
'-x,-y,-z'
'-x,y,-z'
'x,-y,z'
loop_
_atom_site_label
_atom_site_type_symbol
_atom_site_fract_x
_atom_site_fract_y
_atom_site_fract_z
_atom_site_occupancy
La1 La 0.000 0.000 0.000 1
La2 La 0.102 0.500 0.303 1
La3 La 0.300 0.500 0.899 1
La4 La 0.400 0.000 0.212 1
Pm1 Pm 0.212 0.000 0.597 1
Th1 Th 0.500 0.500 0.500 1
```

=====

Q: Number 1 is which compound?
A: La3Pm3Th2